1.
Starting from a DFT-relaxed cell (PBE, Alexandria), the powder XRD pattern of Er3Sc4Ge4 was computed for Cu Ka.

Atomic structure:
abc: 3.929 8.424 15.112
angles: 90.00 90.00 90.00
Space group Immm (No. 71)
Unique sites:
Er  0.000  0.000  0.000
Er  0.000  0.500  0.110
Sc  0.000  0.307  0.327
Ge  0.000  0.000  0.243
Ge  0.000  0.217  0.500

Largest 10 diffraction maxima, in order of rising 2θ, 2θ = 15–90°:
| d_spacing | two_theta | I (rel.) | index |
| --- | --- | --- | --- |
| 4.212 | 21.09 | 23 | 0 2 0 |
| 2.845 | 31.45 | 35 | 0 1 5 |
| 2.822 | 31.70 | 100 | 1 2 1 |
| 2.591 | 34.62 | 91 | 1 1 4 |
| 2.453 | 36.64 | 26 | 0 3 3 |
| 2.106 | 42.95 | 17 | 0 4 0 |
| 2.057 | 44.02 | 16 | 0 3 5 |
| 1.964 | 46.22 | 21 | 2 0 0 |
| 1.955 | 46.45 | 20 | 1 3 4 |
| 1.433 | 65.11 | 21 | 1 5 4 |

=====

2.
Starting from a DFT-relaxed cell (PBE, Alexandria), the powder XRD pattern of ErSc2Ge2 was computed for Cu Ka.

Atomic structure:
abc: 5.022 3.863 11.565
angles: 90.00 96.33 90.00
Space group P2_1/m (No. 11)
Unique sites:
Er  0.186  0.250  0.243
Sc  0.247  0.750  0.481
Sc  0.341  0.250  0.895
Ge  0.156  0.750  0.040
Ge  0.290  0.250  0.661

Largest 10 diffraction maxima, in order of rising 2θ, 2θ = 15–90°:
| d_spacing | two_theta | I (rel.) | index |
| --- | --- | --- | --- |
| 4.774 | 18.58 | 37 | 1 0 -1 |
| 3.055 | 29.23 | 42 | 1 1 0 |
| 2.776 | 32.24 | 94 | 1 1 -2 |
| 2.720 | 32.93 | 100 | 0 1 3 |
| 2.625 | 34.16 | 92 | 1 1 2 |
| 2.496 | 35.98 | 62 | 2 0 0 |
| 2.181 | 41.39 | 45 | 1 0 -5 |
| 1.931 | 47.05 | 38 | 0 2 0 |
| 1.914 | 47.50 | 55 | 2 1 -3 |
| 1.528 | 60.62 | 28 | 2 2 0 |

=====

3.
Starting from a DFT-relaxed cell (PBE, Alexandria), the powder XRD pattern of Er2SiGe2 was computed for Cu Ka.

Atomic structure:
abc: 4.229 5.710 9.511
angles: 77.33 77.23 68.32
Space group P-1 (No. 2)
Unique sites:
Er  0.023  0.135  0.320
Er  0.180  0.254  0.885
Si  0.310  0.561  0.319
Ge  0.363  0.225  0.549
Ge  0.453  0.699  0.895

Largest 10 diffraction maxima, in order of rising 2θ, 2θ = 15–90°:
| d_spacing | two_theta | I (rel.) | index |
| --- | --- | --- | --- |
| 3.881 | 22.92 | 21 | 1 0 0 |
| 3.218 | 27.72 | 23 | 0 1 -2 |
| 2.834 | 31.56 | 27 | 0 1 3 |
| 2.758 | 32.46 | 89 | 1 1 3 |
| 2.712 | 33.03 | 86 | 1 -1 0 |
| 2.625 | 34.16 | 56 | 0 2 0 |
| 2.606 | 34.42 | 100 | 1 1 -2 |
| 2.365 | 38.04 | 52 | 1 -1 2 |
| 2.304 | 39.10 | 36 | 1 2 3 |
| 2.114 | 42.77 | 52 | 2 1 1 |

=====

4.
Starting from a DFT-relaxed cell (PBE, Alexandria), the powder XRD pattern of TbErSiGe was computed for Cu Ka.

Atomic structure:
abc: 3.895 4.274 10.604
angles: 90.00 90.00 90.00
Space group Amm2 (No. 38)
Unique sites:
Tb  0.000  0.000  0.000
Er  0.500  0.000  0.278
Si  0.500  0.000  0.557
Ge  0.000  0.000  0.720

Largest 10 diffraction maxima, in order of rising 2θ, 2θ = 15–90°:
| d_spacing | two_theta | I (rel.) | index |
| --- | --- | --- | --- |
| 3.964 | 22.43 | 18 | 0 1 1 |
| 3.139 | 28.43 | 40 | 1 0 2 |
| 2.778 | 32.22 | 100 | 1 1 1 |
| 2.724 | 32.88 | 43 | 0 1 3 |
| 2.651 | 33.81 | 30 | 0 0 4 |
| 2.232 | 40.41 | 41 | 1 1 3 |
| 2.137 | 42.30 | 24 | 0 2 0 |
| 1.948 | 46.63 | 18 | 2 0 0 |
| 1.707 | 53.68 | 16 | 1 1 5 |
| 1.584 | 58.24 | 17 | 2 1 3 |

=====

5.
Starting from a DFT-relaxed cell (PBE, Alexandria), the powder XRD pattern of YErSiGe was computed for Cu Ka.

Atomic structure:
abc: 3.892 4.264 10.591
angles: 90.00 90.00 90.00
Space group Amm2 (No. 38)
Unique sites:
Y  0.000  0.000  0.000
Er  0.500  0.000  0.721
Si  0.000  0.000  0.278
Ge  0.500  0.000  0.440

Largest 10 diffraction maxima, in order of rising 2θ, 2θ = 15–90°:
| d_spacing | two_theta | I (rel.) | index |
| --- | --- | --- | --- |
| 3.955 | 22.48 | 22 | 0 1 1 |
| 3.136 | 28.46 | 30 | 1 0 2 |
| 2.774 | 32.27 | 100 | 1 1 1 |
| 2.719 | 32.94 | 46 | 0 1 3 |
| 2.648 | 33.86 | 31 | 0 0 4 |
| 2.229 | 40.47 | 51 | 1 1 3 |
| 2.189 | 41.24 | 17 | 1 0 4 |
| 2.132 | 42.40 | 25 | 0 2 0 |
| 1.946 | 46.68 | 19 | 2 0 0 |
| 1.582 | 58.31 | 18 | 2 1 3 |

=====

6.
Starting from a DFT-relaxed cell (PBE, Alexandria), the powder XRD pattern of Er8SnGe5 was computed for Cu Ka.

Atomic structure:
abc: 8.860 8.860 8.792
angles: 90.00 90.00 90.00
Space group I-4 (No. 82)
Unique sites:
Er  0.065  0.186  0.188
Er  0.069  0.325  0.560
Sn  0.000  0.000  0.500
Ge  0.000  0.500  0.250
Ge  0.127  0.251  0.874

Largest 10 diffraction maxima, in order of rising 2θ, 2θ = 15–90°:
| d_spacing | two_theta | I (rel.) | index |
| --- | --- | --- | --- |
| 3.609 | 24.67 | 19 | 1 2 1 |
| 3.120 | 28.61 | 18 | 2 0 2 |
| 2.801 | 31.96 | 100 | 1 3 0 |
| 2.782 | 32.17 | 52 | 1 0 3 |
| 2.365 | 38.05 | 70 | 3 2 1 |
| 2.356 | 38.20 | 25 | 2 1 3 |
| 1.806 | 50.53 | 18 | 4 2 2 |
| 1.737 | 52.69 | 20 | 3 4 1 |
| 1.729 | 52.95 | 15 | 3 1 4 |
| 1.437 | 64.90 | 16 | 6 1 1 |

=====

7.
Starting from a DFT-relaxed cell (PBE, Alexandria), the powder XRD pattern of Tb5Er2Ge4 was computed for Cu Ka.

Atomic structure:
abc: 21.244 3.757 7.980
angles: 90.00 96.67 90.00
Space group C2/m (No. 12)
Unique sites:
Tb  0.000  0.000  0.000
Tb  0.103  0.500  0.424
Tb  0.160  0.500  0.972
Er  0.234  0.000  0.667
Ge  0.026  0.500  0.731
Ge  0.104  0.000  0.711

Largest 10 diffraction maxima, in order of rising 2θ, 2θ = 15–90°:
| d_spacing | two_theta | I (rel.) | index |
| --- | --- | --- | --- |
| 3.362 | 26.51 | 53 | 6 0 -1 |
| 3.326 | 26.80 | 69 | 1 1 1 |
| 3.119 | 28.62 | 48 | 3 1 -1 |
| 3.085 | 28.95 | 100 | 6 0 1 |
| 2.797 | 32.00 | 42 | 6 0 -2 |
| 2.677 | 33.47 | 55 | 1 1 2 |
| 2.641 | 33.95 | 61 | 0 0 3 |
| 2.614 | 34.31 | 65 | 3 1 -2 |
| 2.478 | 36.25 | 71 | 3 1 2 |
| 1.879 | 48.46 | 41 | 0 2 0 |

=====

8.
Starting from a DFT-relaxed cell (PBE, Alexandria), the powder XRD pattern of Tb2Er3Ge4 was computed for Cu Ka.

Atomic structure:
abc: 7.907 7.750 7.564
angles: 90.00 112.16 90.00
Space group P2_1/c (No. 14)
Unique sites:
Tb  0.199  0.180  0.061
Er  0.238  0.663  0.229
Er  0.500  0.000  0.500
Ge  0.087  0.536  0.825
Ge  0.491  0.133  0.869

Largest 10 diffraction maxima, in order of rising 2θ, 2θ = 15–90°:
| d_spacing | two_theta | I (rel.) | index |
| --- | --- | --- | --- |
| 3.385 | 26.32 | 50 | 1 1 -2 |
| 2.883 | 31.02 | 39 | 1 2 1 |
| 2.751 | 32.55 | 100 | 2 2 -1 |
| 2.698 | 33.20 | 55 | 1 2 -2 |
| 2.662 | 33.67 | 82 | 2 2 0 |
| 2.615 | 34.29 | 91 | 1 1 2 |
| 2.492 | 36.04 | 46 | 3 0 -2 |
| 2.441 | 36.83 | 40 | 3 0 0 |
| 2.424 | 37.09 | 48 | 0 3 1 |
| 2.394 | 37.57 | 92 | 1 1 -3 |